No. 1
# Cr8Cu3NiS16
Theoretical X-ray diffraction stick pattern, a wavelength of 1.5418 Å. Input: a cell relaxed with PBE.
No peak broadening, texture or thermal motion is included.

Most intense lines, 2θ = 5–70°, sorted by position:
| 2θ (°) | I_rel | hkl |
| --- | --- | --- |
| 25.67 | 37 | 1 1 0 |
| 30.19 | 100 | 2 0 2 |
| 36.62 | 42 | 2 0 8 |
| 45.25 | 14 | 3 0 0 |
| 48.17 | 43 | 3 0 6 |
| 52.75 | 85 | 2 2 0 |
| 61.99 | 11 | 1 0 22 |
| 65.92 | 8 | 0 4 8 |

Atomic structure:
a b c (Å): 6.9406 6.9406 34.0155
angles (deg): 90.00 90.00 120.00
Space group R3m (No. 160, hexagonal axes)
Symmetry-distinct sites (fractional):
Cr 0.0000 0.0000 0.0000 x3
Cr 0.0000 0.0000 0.4994 x3
Cr 0.0007 0.5004 0.2499 x9
Cr 0.0007 0.5004 0.7491 x9
Cu 0.0000 0.0000 0.1870 x3
Cu 0.0000 0.0000 0.3120 x3
Cu 0.0000 0.0000 0.8122 x3
Ni 0.0000 0.0000 0.6870 x3
S 0.0000 0.0000 0.1203 x3
S 0.0000 0.0000 0.3784 x3
S 0.0000 0.0000 0.6222 x3
S 0.0000 0.0000 0.8788 x3
S 0.0213 0.5106 0.1229 x9
S 0.0216 0.5108 0.6235 x9
S 0.1737 0.3474 0.7086 x9
S 0.1773 0.3545 0.2093 x9

=====

No. 2
# Mg5Si9
Theoretical X-ray diffraction stick pattern, a wavelength of 1.5418 Å. Input: a cell relaxed with PBE.
No peak broadening, texture or thermal motion is included.

Most intense lines, 2θ = 5–70°, sorted by position:
| 2θ (°) | I_rel | hkl |
| --- | --- | --- |
| 27.75 | 71 | 2 1 2 |
| 31.37 | 91 | 2 1 3 |
| 32.78 | 71 | 1 2 -2 |
| 35.17 | 95 | 0 1 -4 |
| 37.11 | 100 | 0 2 4 |
| 39.97 | 77 | -2 1 2 |
| 40.49 | 73 | 3 1 2 |
| 40.76 | 69 | 2 0 4 |

Atomic structure:
a b c (Å): 6.9982 7.0760 12.6127
angles (deg): 76.38 82.26 62.50
Space group P1 (No. 1)
Symmetry-distinct sites (fractional):
Mg 0.0000 0.0000 0.0000 x1
Mg 0.0059 0.3728 0.3542 x1
Mg 0.1374 0.4928 0.0887 x1
Mg 0.2005 0.0760 0.7665 x1
Mg 0.2240 0.4871 0.5234 x1
Mg 0.4134 0.9390 0.5457 x1
Mg 0.4310 0.1286 0.9856 x1
Mg 0.6208 0.7029 0.1497 x1
Mg 0.7734 0.6952 0.7290 x1
Mg 0.8567 0.1925 0.2051 x1
Si 0.0321 0.3883 0.8994 x1
Si 0.1203 0.8195 0.6612 x1
Si 0.2500 0.7959 0.3283 x1
Si 0.2978 0.4567 0.7714 x1
Si 0.3175 0.0791 0.2112 x1
Si 0.4476 0.1719 0.3470 x1
Si 0.4609 0.7539 0.9302 x1
Si 0.5232 0.1701 0.6704 x1
Si 0.5574 0.4449 0.3418 x1
Si 0.5640 0.4018 0.0431 x1
Si 0.6385 0.4044 0.8476 x1
Si 0.6989 0.3051 0.5183 x1
Si 0.7799 0.8505 0.3935 x1
Si 0.8077 0.5588 0.5448 x1
Si 0.8170 0.7525 0.9379 x1
Si 0.8319 0.0280 0.7858 x1
Si 0.9881 0.9673 0.4764 x1
Si 0.9984 0.7660 0.2281 x1

=====

No. 3
# Cs3HSe2O8
Theoretical X-ray diffraction stick pattern, a wavelength of 1.5418 Å. Input: a cell relaxed with PBE.
No peak broadening, texture or thermal motion is included.

Most intense lines, 2θ = 5–70°, sorted by position:
| 2θ (°) | I_rel | hkl |
| --- | --- | --- |
| 24.17 | 47 | 1 0 -3 |
| 24.32 | 100 | 2 1 -1 |
| 27.16 | 72 | 1 1 2 |
| 27.87 | 40 | 0 2 0 |
| 37.22 | 39 | 1 2 -3 |
| 40.76 | 18 | 3 1 -4 |
| 47.22 | 14 | 2 3 -1 |
| 48.87 | 15 | 1 3 2 |

Atomic structure:
a b c (Å): 8.9312 6.4020 11.0680
angles (deg): 90.00 110.93 90.00
Space group P2_1/m (No. 11)
Symmetry-distinct sites (fractional):
Cs 0.1680 0.2500 0.0558 x2
Cs 0.2484 0.7500 0.7463 x2
Cs 0.3083 0.2500 0.4465 x2
H 0.2809 0.2500 0.7753 x2
Se 0.0353 0.7500 0.3144 x2
Se 0.4436 0.7500 0.1828 x2
O 0.0337 0.5346 0.2278 x4
O 0.1408 0.2500 0.6565 x2
O 0.1887 0.7500 0.4544 x2
O 0.2905 0.7500 0.0440 x2
O 0.3847 0.2500 0.8625 x2
O 0.4580 0.5338 0.2694 x4

=====

No. 4
# PmCu3Rh4O12
Theoretical X-ray diffraction stick pattern, a wavelength of 1.5418 Å. Input: a cell relaxed with PBE.
No peak broadening, texture or thermal motion is included.

Most intense lines, 2θ = 5–70°, sorted by position:
| 2θ (°) | I_rel | hkl |
| --- | --- | --- |
| 16.65 | 7 | 1 1 0 |
| 23.63 | 2 | 2 0 0 |
| 29.04 | 1 | 2 1 1 |
| 33.66 | 100 | 2 2 0 |
| 37.78 | 5 | 3 0 1 |
| 45.04 | 5 | 3 1 2 |
| 48.34 | 23 | 4 0 0 |
| 60.20 | 46 | 4 2 2 |

Atomic structure:
a b c (Å): 7.5307 7.5307 7.5307
angles (deg): 90.00 90.00 90.00
Space group Im-3 (No. 204)
Symmetry-distinct sites (fractional):
Pm 0.0000 0.0000 0.0000 x2
Cu 0.0000 0.0000 0.5000 x6
Rh 0.2500 0.2500 0.2500 x8
O 0.0000 0.3045 0.1638 x24

=====

No. 5
# Nd12Sm3Tl
Theoretical X-ray diffraction stick pattern, a wavelength of 1.5418 Å. Input: a cell relaxed with PBE.
No peak broadening, texture or thermal motion is included.

Most intense lines, 2θ = 5–70°, sorted by position:
| 2θ (°) | I_rel | hkl |
| --- | --- | --- |
| 30.10 | 100 | 1 1 4 |
| 34.46 | 17 | 0 0 8 |
| 35.11 | 33 | 2 0 0 |
| 50.02 | 24 | 2 0 8 |
| 50.50 | 12 | 2 2 0 |
| 59.06 | 14 | 1 1 12 |
| 59.91 | 28 | 3 1 4 |
| 62.57 | 12 | 2 2 8 |

Atomic structure:
a b c (Å): 5.1121 5.1121 20.8205
angles (deg): 90.00 90.00 90.00
Space group P4/mmm (No. 123)
Symmetry-distinct sites (fractional):
Nd 0.0000 0.0000 0.0000 x1
Nd 0.0000 0.0000 0.2456 x2
Nd 0.0000 0.0000 0.5000 x1
Nd 0.0000 0.5000 0.1206 x4
Nd 0.0000 0.5000 0.3734 x4
Sm 0.5000 0.5000 0.2476 x2
Sm 0.5000 0.5000 0.5000 x1
Tl 0.5000 0.5000 0.0000 x1

=====

Repeat the fourth record exactly.
# PmCu3Rh4O12
Theoretical X-ray diffraction stick pattern, a wavelength of 1.5418 Å. Input: a cell relaxed with PBE.
No peak broadening, texture or thermal motion is included.

Most intense lines, 2θ = 5–70°, sorted by position:
| 2θ (°) | I_rel | hkl |
| --- | --- | --- |
| 16.65 | 7 | 1 1 0 |
| 23.63 | 2 | 2 0 0 |
| 29.04 | 1 | 2 1 1 |
| 33.66 | 100 | 2 2 0 |
| 37.78 | 5 | 3 0 1 |
| 45.04 | 5 | 3 1 2 |
| 48.34 | 23 | 4 0 0 |
| 60.20 | 46 | 4 2 2 |

Atomic structure:
a b c (Å): 7.5307 7.5307 7.5307
angles (deg): 90.00 90.00 90.00
Space group Im-3 (No. 204)
Symmetry-distinct sites (fractional):
Pm 0.0000 0.0000 0.0000 x2
Cu 0.0000 0.0000 0.5000 x6
Rh 0.2500 0.2500 0.2500 x8
O 0.0000 0.3045 0.1638 x24